The following is a simulated XRD peak list of PaTi2Nb2. It was derived from DFT lattice parameters and positions (PBE), using a wavelength of 1.5418 Å.
Neutral-atom scattering factors, no anomalous dispersion.

Structural model:
```
data_PaTi2Nb2
_chemical_formula_sum 'Pa2 Ti4 Nb4'
_symmetry_space_group_name_H-M 'P b a m'
_symmetry_Int_Tables_number 55
_symmetry_space_group_name_Hall '-P 2 2ab'
_cell_length_a 5.680
_cell_length_b 7.856
_cell_length_c 4.609
_cell_angle_alpha 90.00
_cell_angle_beta 90.00
_cell_angle_gamma 90.00
loop_
_atom_site_label
_atom_site_fract_x
_atom_site_fract_y
_atom_site_fract_z
_atom_site_occupancy
Pa1 0.000 0.000 0.000 1
Ti1 0.195 0.334 0.500 1
Nb1 0.070 0.667 0.000 1
```

The 8 most intense peaks (2θ from 10° to 90°), by intensity:
- 2θ = 19.26°, I 1000, (0 0 1)
- 2θ = 42.79°, I 541, (1 3 1)
- 2θ = 37.19°, I 524, (2 0 1)
- 2θ = 37.83°, I 523, (1 3 0)
- 2θ = 39.10°, I 440, (0 0 2)
- 2θ = 55.53°, I 343, (1 3 2)
- 2θ = 27.38°, I 311, (1 1 1)
- 2θ = 63.94°, I 183, (3 3 1)